Starting from a crystal structure in the Materials Project, relaxed with PBE, the X-ray diffraction stick pattern of Na7MgSbO6 was simulated for Cu Kα (λ = 1.5418 Å).
Intensities are scaled so that the largest is 100.

Main lines, by angle (2θ from 10° to 90°):
12.20 deg, 7.256 Å, rel. 28; 15.92 deg, 5.567 Å, rel. 100; 17.42 deg, 5.090 Å, rel. 94; 22.48 deg, 3.955 Å, rel. 27; 24.54 deg, 3.628 Å, rel. 34; 25.65 deg, 3.473 Å, rel. 29; 29.55 deg, 3.023 Å, rel. 54; 31.34 deg, 2.854 Å, rel. 26; 32.73 deg, 2.736 Å, rel. 40; 42.35 deg, 2.134 Å, rel. 34; 46.43 deg, 1.956 Å, rel. 46; 47.36 deg, 1.920 Å, rel. 28

Structure:
a b c (Å): 8.2086 8.2086 8.2086
angles (deg): 47.79 47.79 47.79
Element x y z (fractional)
Na (0.0000, 0.0000, 0.0000)
Na (0.0795, 0.8950, 0.4943)
Na (0.1540, 0.3754, 0.6737)
Na (0.3754, 0.6737, 0.1540)
Na (0.4943, 0.0795, 0.8950)
Na (0.6737, 0.1540, 0.3754)
Na (0.8950, 0.4943, 0.0795)
Mg (0.6935, 0.6935, 0.6935)
Sb (0.5561, 0.5561, 0.5561)
O (0.2551, 0.5101, 0.7683)
O (0.4055, 0.9731, 0.7644)
O (0.5101, 0.7683, 0.2551)
O (0.7644, 0.4055, 0.9731)
O (0.7683, 0.2551, 0.5101)
O (0.9731, 0.7644, 0.4055)


Starting from a crystal structure in the Materials Project, relaxed with PBE, the X-ray diffraction stick pattern of Na7MgSbO6 was simulated for Cu Kα (λ = 1.5418 Å).
Intensities are scaled so that the largest is 100.

Main lines, by angle (2θ from 10° to 90°):
16.29 deg, 5.442 Å, rel. 57; 16.42 deg, 5.398 Å, rel. 28; 18.19 deg, 4.878 Å, rel. 34; 18.34 deg, 4.836 Å, rel. 66; 24.50 deg, 3.634 Å, rel. 22; 24.75 deg, 3.598 Å, rel. 41; 28.49 deg, 3.133 Å, rel. 34; 30.85 deg, 2.899 Å, rel. 100; 37.27 deg, 2.413 Å, rel. 34; 39.94 deg, 2.257 Å, rel. 23; 47.96 deg, 1.897 Å, rel. 21; 48.10 deg, 1.892 Å, rel. 21

Structure:
a b c (Å): 6.5254 6.5437 7.2698
angles (deg): 63.35 64.02 60.42
Element x y z (fractional)
Na (0.0000, 0.0000, 0.0000)
Na (0.0292, 0.8258, 0.7045)
Na (0.1848, 0.5960, 0.3973)
Na (0.3665, 0.4053, 0.0002)
Na (0.4240, 0.2083, 0.6997)
Na (0.5926, 0.7693, 0.0039)
Na (0.8010, 0.4399, 0.6985)
Mg (0.4728, 0.8874, 0.5219)
Sb (0.9000, 0.2996, 0.2700)
O (0.1674, 0.1478, 0.6134)
O (0.2245, 0.0842, 0.1111)
O (0.4292, 0.5787, 0.6115)
O (0.6859, 0.3514, 0.1040)
O (0.7355, 0.8419, 0.6149)
O (0.9524, 0.6259, 0.1076)


Starting from a crystal structure in the Materials Project, relaxed with PBE, the X-ray diffraction stick pattern of Na5MgSbO5 was simulated for Cu Kα (λ = 1.5418 Å).
Intensities are scaled so that the largest is 100.

Main lines, by angle (2θ from 10° to 90°):
13.78 deg, 6.426 Å, rel. 100; 16.73 deg, 5.299 Å, rel. 49; 20.21 deg, 4.395 Å, rel. 76; 23.13 deg, 3.845 Å, rel. 37; 25.87 deg, 3.444 Å, rel. 40; 31.27 deg, 2.860 Å, rel. 33; 31.37 deg, 2.851 Å, rel. 31; 36.59 deg, 2.456 Å, rel. 61; 37.25 deg, 2.414 Å, rel. 84; 37.36 deg, 2.407 Å, rel. 52; 53.20 deg, 1.722 Å, rel. 37; 53.77 deg, 1.705 Å, rel. 33

Structure:
a b c (Å): 6.0307 6.0307 6.7017
angles (deg): 105.08 105.08 47.21
Element x y z (fractional)
Na (0.0000, 0.0000, 0.0000)
Na (0.2960, 0.2960, 0.1910)
Na (0.3136, 0.3136, 0.6143)
Na (0.6864, 0.6864, 0.3857)
Na (0.7040, 0.7040, 0.8090)
Mg (0.5000, 0.5000, 0.0000)
Sb (0.0000, 0.0000, 0.5000)
O (0.1299, 0.1299, 0.3409)
O (0.1387, 0.1387, 0.7720)
O (0.5000, 0.5000, 0.5000)
O (0.8613, 0.8613, 0.2280)
O (0.8701, 0.8701, 0.6591)


Starting from a crystal structure in the Materials Project, relaxed with PBE, the X-ray diffraction stick pattern of Na2MgSi5O12 was simulated for Cu Kα (λ = 1.5418 Å).
Intensities are scaled so that the largest is 100.

Main lines, by angle (2θ from 10° to 90°):
20.32 deg, 4.371 Å, rel. 22; 30.02 deg, 2.976 Å, rel. 100; 31.11 deg, 2.875 Å, rel. 26; 31.38 deg, 2.850 Å, rel. 44; 35.43 deg, 2.534 Å, rel. 57; 36.80 deg, 2.442 Å, rel. 32; 41.22 deg, 2.190 Å, rel. 25; 45.20 deg, 2.006 Å, rel. 19; 57.88 deg, 1.593 Å, rel. 19; 61.50 deg, 1.508 Å, rel. 16; 66.90 deg, 1.399 Å, rel. 15; 68.35 deg, 1.372 Å, rel. 17

Structure:
a b c (Å): 5.3338 8.7380 9.3452
angles (deg): 90.00 104.55 90.00
Element x y z (fractional)
Na (0.0000, 0.0429, 0.2500)
Na (0.0000, 0.9571, 0.7500)
Na (0.5000, 0.4485, 0.2500)
Na (0.5000, 0.5515, 0.7500)
Mg (0.5000, 0.1539, 0.7500)
Mg (0.5000, 0.8461, 0.2500)
Si (0.0000, 0.3479, 0.7500)
Si (0.0000, 0.6521, 0.2500)
Si (0.1806, 0.3486, 0.4556)
Si (0.1806, 0.6514, 0.9556)
Si (0.3020, 0.1656, 0.0366)
Si (0.3020, 0.8344, 0.5366)
Si (0.6980, 0.1656, 0.4634)
Si (0.6980, 0.8344, 0.9634)
Si (0.8194, 0.3486, 0.0445)
Si (0.8194, 0.6514, 0.5444)
O (0.1007, 0.2663, 0.1121)
O (0.1007, 0.7337, 0.6121)
O (0.1824, 0.4856, 0.8756)
O (0.1824, 0.5144, 0.3756)
O (0.2004, 0.1937, 0.8558)
O (0.2004, 0.8063, 0.3558)
O (0.2390, 0.3440, 0.6381)
O (0.2390, 0.6560, 0.1381)
O (0.3086, 0.0041, 0.5984)
O (0.3086, 0.9959, 0.0984)
O (0.4142, 0.2537, 0.4086)
O (0.4142, 0.7463, 0.9086)
O (0.5858, 0.2537, 0.0914)
O (0.5858, 0.7463, 0.5914)
O (0.6914, 0.0041, 0.9016)
O (0.6914, 0.9959, 0.4016)
O (0.7610, 0.3440, 0.8619)
O (0.7610, 0.6560, 0.3619)
O (0.7996, 0.1937, 0.6442)
O (0.7996, 0.8063, 0.1442)
O (0.8176, 0.4856, 0.6244)
O (0.8176, 0.5144, 0.1244)
O (0.8993, 0.2663, 0.3879)
O (0.8993, 0.7337, 0.8879)


Starting from a crystal structure in the Materials Project, relaxed with PBE, the X-ray diffraction stick pattern of NaMg14SiO16 was simulated for Cu Kα (λ = 1.5418 Å).
Intensities are scaled so that the largest is 100.

Main lines, by angle (2θ from 10° to 90°):
14.67 deg, 6.039 Å, rel. 1; 36.34 deg, 2.472 Å, rel. 31; 41.97 deg, 2.153 Å, rel. 100; 42.12 deg, 2.145 Å, rel. 98; 42.54 deg, 2.125 Å, rel. 93; 60.97 deg, 1.520 Å, rel. 56; 61.30 deg, 1.512 Å, rel. 54; 61.41 deg, 1.510 Å, rel. 53; 72.99 deg, 1.296 Å, rel. 7; 73.21 deg, 1.293 Å, rel. 7; 73.80 deg, 1.284 Å, rel. 8; 77.17 deg, 1.236 Å, rel. 48

Structure:
a b c (Å): 4.3053 8.5001 8.5810
angles (deg): 90.00 90.00 90.00
Element x y z (fractional)
Na (0.0000, 0.0000, 0.0000)
Mg (0.0000, 0.0000, 0.5000)
Mg (0.0000, 0.2454, 0.2520)
Mg (0.0000, 0.2454, 0.7480)
Mg (0.0000, 0.5000, 0.5000)
Mg (0.0000, 0.7546, 0.2520)
Mg (0.0000, 0.7546, 0.7480)
Mg (0.5000, 0.0000, 0.2476)
Mg (0.5000, 0.0000, 0.7524)
Mg (0.5000, 0.2438, 0.0000)
Mg (0.5000, 0.2477, 0.5000)
Mg (0.5000, 0.5000, 0.2512)
Mg (0.5000, 0.5000, 0.7488)
Mg (0.5000, 0.7523, 0.5000)
Mg (0.5000, 0.7562, 0.0000)
Si (0.0000, 0.5000, 0.0000)
O (0.0000, 0.0000, 0.2632)
O (0.0000, 0.0000, 0.7368)
O (0.0000, 0.2551, 0.5000)
O (0.0000, 0.2792, 0.0000)
O (0.0000, 0.5000, 0.2423)
O (0.0000, 0.5000, 0.7577)
O (0.0000, 0.7208, 0.0000)
O (0.0000, 0.7449, 0.5000)
O (0.5000, 0.0000, 0.0000)
O (0.5000, 0.0000, 0.5000)
O (0.5000, 0.2515, 0.2486)
O (0.5000, 0.2515, 0.7514)
O (0.5000, 0.5000, 0.0000)
O (0.5000, 0.5000, 0.5000)
O (0.5000, 0.7485, 0.2486)
O (0.5000, 0.7485, 0.7514)